# 1
Sm2ErTc2C4: computed X-ray diffraction stick pattern (Cu Kα, 1.54184 Å), based on a structure optimized by DFT (GGA-PBE).

Structural model:
Lattice parameters (Å, degrees): 6.974 6.974 6.105 108.27 108.27 29.05
Element x y z (fractional)
Sm1 0.133 0.133 0.031
Sm2 0.867 0.867 0.969
Er1 0.000 0.000 0.500
Tc1 0.322 0.322 0.505
Tc2 0.678 0.678 0.495
C1 0.220 0.220 0.705
C2 0.459 0.459 0.745
C3 0.541 0.541 0.255
C4 0.780 0.780 0.295

Most intense lines, 2θ from 10° to 90°, in order of falling intensity:
2theta	I/Imax
33.6	100
39.6	83
31.0	73
27.2	43
52.3	42
26.4	40
39.3	32
62.0	29
42.5	25
36.3	24

# 2
CaPmTmCd: computed X-ray diffraction stick pattern (Cu Kα, 1.54184 Å), based on a structure optimized by DFT (GGA-PBE).

Structural model:
Lattice parameters (Å, degrees): 5.556 5.556 5.556 60.00 60.00 60.00
Element x y z (fractional)
Ca1 0.000 0.000 0.000
Pm1 0.250 0.250 0.250
Tm1 0.500 0.500 0.500
Cd1 0.750 0.750 0.750

Most intense lines, 2θ from 10° to 90°, in order of falling intensity:
2theta	I/Imax
32.2	100
57.5	38
46.2	18
19.6	17
76.7	16
67.4	12
38.0	10
50.6	4
85.6	4
61.3	3